# Sr4NiCl
Calculated powder diffractogram, Cu Kα X-rays. Input: a structure optimized by DFT (PBE).
Neutral-atom scattering factors, no anomalous dispersion.

Crystal structure
Lattice parameters (Å, degrees): 7.3024 7.3024 7.3024 60.00 60.00 60.00
Fractional positions:
Sr1 0.3759 0.3759 0.3759
Sr2 0.3759 0.3759 0.8724
Sr3 0.3759 0.8724 0.3759
Sr4 0.8724 0.3759 0.3759
Ni1 0.7500 0.7500 0.7500
Cl1 0.0000 0.0000 0.0000

Largest 8 diffraction maxima, in order of rising 2θ, 2θ = 10–80°:
- 2θ 14.86, intensity 28
- 2θ 28.67, intensity 100
- 2θ 29.97, intensity 60
- 2θ 34.75, intensity 15
- 2θ 45.65, intensity 36
- 2θ 49.96, intensity 34
- 2θ 59.36, intensity 25
- 2θ 69.97, intensity 22


# TaNi2Cl
Calculated powder diffractogram, Cu Kα X-rays. Input: a structure optimized by DFT (PBE).
Neutral-atom scattering factors, no anomalous dispersion.

Crystal structure
Lattice parameters (Å, degrees): 3.2894 2.9702 6.9884 90.00 90.67 90.00
Fractional positions:
Ta1 0.0000 0.0000 0.0000
Ni1 0.0094 0.0000 0.3500
Ni2 0.5045 0.5000 0.1787
Cl1 0.9912 0.5000 0.7101

Largest 8 diffraction maxima, in order of rising 2θ, 2θ = 10–80°:
- 2θ 12.67, intensity 100
- 2θ 27.11, intensity 26
- 2θ 30.12, intensity 14
- 2θ 39.83, intensity 28
- 2θ 40.94, intensity 28
- 2θ 42.92, intensity 18
- 2θ 43.13, intensity 16
- 2θ 49.75, intensity 17


# TiVNi2Cl
Calculated powder diffractogram, Cu Kα X-rays. Input: a structure optimized by DFT (PBE).
Neutral-atom scattering factors, no anomalous dispersion.

Crystal structure
Lattice parameters (Å, degrees): 4.3335 4.3335 5.1571 90.00 90.00 90.00
Fractional positions:
Ti1 0.0000 0.0000 0.0000
V1 0.0000 0.0000 0.5000
Ni1 0.0000 0.5000 0.0000
Ni2 0.5000 0.0000 0.0000
Cl1 0.5000 0.5000 0.5000

Largest 8 diffraction maxima, in order of rising 2θ, 2θ = 10–80°:
- 2θ 17.19, intensity 39
- 2θ 20.49, intensity 25
- 2θ 34.03, intensity 100
- 2θ 34.79, intensity 57
- 2θ 41.68, intensity 67
- 2θ 55.39, intensity 54
- 2θ 60.42, intensity 20
- 2θ 71.65, intensity 23


# TiZnNiCl
Calculated powder diffractogram, Cu Kα X-rays. Input: a structure optimized by DFT (PBE).
Neutral-atom scattering factors, no anomalous dispersion.

Crystal structure
Lattice parameters (Å, degrees): 5.4308 3.1888 8.2113 90.00 90.47 90.00
Fractional positions:
Ti1 0.0000 0.0000 0.0000
Ti2 0.5000 0.5000 0.0000
Zn1 0.1717 0.5000 0.5923
Zn2 0.6717 0.0000 0.5923
Ni1 0.3395 0.0000 0.7999
Ni2 0.8395 0.5000 0.7999
Cl1 0.1689 0.5000 0.2047
Cl2 0.6689 0.0000 0.2047

Largest 8 diffraction maxima, in order of rising 2θ, 2θ = 10–80°:
- 2θ 10.77, intensity 100
- 2θ 34.43, intensity 60
- 2θ 34.71, intensity 30
- 2θ 39.52, intensity 70
- 2θ 39.65, intensity 34
- 2θ 46.73, intensity 47
- 2θ 47.35, intensity 22
- 2θ 58.64, intensity 25